Computed powder diffractogram
Compound: TlVTeO5
Radiation: Cu Kα, 1.54184 Å
Structure: a crystal structure in the Materials Project, relaxed with GGA+U
Intensities are scaled so that the largest is 100.

The 10 most intense peaks (10 to 80 degrees two-theta), in order of rising 2θ:
(2 0 0), 2θ 24.1, I 32
(1 2 1), 2θ 26.1, I 75
(1 1 2), 2θ 27.4, I 100
(2 1 1), 2θ 28.5, I 36
(2 2 0), 2θ 31.6, I 21
(0 3 1), 2θ 32.5, I 21
(1 3 0), 2θ 32.8, I 21
(3 2 1), 2θ 43.6, I 19
(3 1 2), 2θ 44.5, I 24
(2 3 3), 2θ 52.7, I 19

Atomic structure:
a = 7.387 Å, b = 8.819 Å, c = 7.938 Å
α = 90.00°, β = 90.00°, γ = 90.00°
Fractional coordinates of all 32 atoms:
Tl (0.024, 0.108, 0.000)
Tl (0.476, 0.608, 0.500)
Tl (0.524, 0.392, 0.000)
Tl (0.976, 0.892, 0.500)
V (0.222, 0.742, 0.883)
V (0.278, 0.242, 0.383)
V (0.722, 0.758, 0.883)
V (0.778, 0.258, 0.383)
Te (0.023, 0.533, 0.195)
Te (0.477, 0.033, 0.695)
Te (0.523, 0.967, 0.195)
Te (0.977, 0.467, 0.695)
O (0.064, 0.175, 0.357)
O (0.101, 0.551, 0.958)
O (0.128, 0.635, 0.649)
O (0.225, 0.818, 0.079)
O (0.245, 0.422, 0.248)
O (0.255, 0.922, 0.748)
O (0.275, 0.318, 0.579)
O (0.372, 0.135, 0.149)
O (0.399, 0.051, 0.458)
O (0.436, 0.675, 0.857)
O (0.564, 0.325, 0.357)
O (0.601, 0.949, 0.958)
O (0.628, 0.865, 0.649)
O (0.725, 0.682, 0.079)
O (0.745, 0.078, 0.248)
O (0.755, 0.578, 0.748)
O (0.775, 0.182, 0.579)
O (0.872, 0.365, 0.149)
O (0.899, 0.449, 0.458)
O (0.936, 0.825, 0.857)